1.
The following is a calculated powder XRD pattern of Zr4InAsN2. It was derived from the GGA-PBE geometry in OQMD, using Cu Kα (λ = 1.5418 Å).
Neutral-atom scattering factors, no anomalous dispersion.

Crystal structure
```
data_Zr4InAsN2
_chemical_formula_sum 'Zr4 In1 As1 N2'
_cell_length_a 3.3770
_cell_length_b 3.3770
_cell_length_c 13.6263
_cell_angle_alpha 90.00
_cell_angle_beta 90.00
_cell_angle_gamma 120.00
_symmetry_space_group_name_H-M 'P -6 m 2'
_symmetry_Int_Tables_number 187
_symmetry_space_group_name_Hall 'P -6 2'
loop_
_atom_site_label
_atom_site_type_symbol
_atom_site_fract_x
_atom_site_fract_y
_atom_site_fract_z
Zr1 Zr 0.0000 0.0000 0.1404
Zr2 Zr 0.3333 0.6667 0.3209
In1 In 0.0000 0.0000 0.5000
As1 As 0.3333 0.6667 0.0000
N1 N 0.6667 0.3333 0.2339
```

Largest 10 diffraction maxima, by angle, 10° ≤ 2θ ≤ 90°:
30.57°, d 2.925, intensity 25, (1 0 0)
33.34°, d 2.687, intensity 8, (1 0 2)
36.54°, d 2.459, intensity 100, (1 0 3)
39.69°, d 2.271, intensity 12, (0 0 6)
50.91°, d 1.794, intensity 11, (1 0 6)
54.33°, d 1.689, intensity 25, (1 1 0)
63.17°, d 1.472, intensity 8, (1 0 8)
67.26°, d 1.392, intensity 16, (2 0 3)
69.35°, d 1.355, intensity 13, (1 1 6)
69.97°, d 1.344, intensity 7, (1 0 9)



2.
The following is a calculated powder XRD pattern of Nb3InAs5. It was derived from the GGA-PBE geometry in OQMD, using Cu Kα (λ = 1.5418 Å).
Neutral-atom scattering factors, no anomalous dispersion.

Crystal structure
```
data_Nb3InAs5
_chemical_formula_sum 'Nb3 In1 As5'
_cell_length_a 5.6382
_cell_length_b 5.6382
_cell_length_c 7.6043
_cell_angle_alpha 90.00
_cell_angle_beta 90.00
_cell_angle_gamma 120.00
_symmetry_space_group_name_H-M 'P 6/m m m'
_symmetry_Int_Tables_number 191
_symmetry_space_group_name_Hall '-P 6 2'
loop_
_atom_site_label
_atom_site_type_symbol
_atom_site_fract_x
_atom_site_fract_y
_atom_site_fract_z
Nb1 Nb 0.0000 0.5000 0.0000
In1 In 0.0000 0.0000 0.5000
As1 As 0.0000 0.0000 0.0000
As2 As 0.3333 0.6667 0.2806
```

Largest 10 diffraction maxima, by angle, 10° ≤ 2θ ≤ 90°:
11.64°, d 7.604, intensity 43, (0 0 1)
21.63°, d 4.109, intensity 19, (1 0 1)
29.78°, d 3.000, intensity 45, (1 0 2)
31.74°, d 2.819, intensity 54, (1 1 0)
33.91°, d 2.643, intensity 20, (1 1 1)
36.81°, d 2.441, intensity 23, (2 0 0)
38.74°, d 2.325, intensity 28, (2 0 1)
44.08°, d 2.054, intensity 100, (2 0 2)
66.31°, d 1.410, intensity 23, (2 2 0)
85.82°, d 1.132, intensity 18, (2 2 4)



3.
The following is a calculated powder XRD pattern of SmInAsO. It was derived from the GGA-PBE geometry in OQMD, using Cu Kα (λ = 1.5418 Å).
Neutral-atom scattering factors, no anomalous dispersion.

Crystal structure
```
data_SmInAsO
_chemical_formula_sum 'Sm2 In2 As2 O2'
_cell_length_a 4.1626
_cell_length_b 4.1626
_cell_length_c 9.7880
_cell_angle_alpha 90.00
_cell_angle_beta 90.00
_cell_angle_gamma 90.00
_symmetry_space_group_name_H-M 'P 4/n m m'
_symmetry_Int_Tables_number 129
loop_
_symmetry_equiv_pos_as_xyz
'x,y,z'
'-x,-y,-z'
'-y+1/2,x,z'
'y+1/2,-x,-z'
'-x+1/2,-y+1/2,z'
'x+1/2,y+1/2,-z'
'y,-x+1/2,z'
'-y,x+1/2,-z'
'x+1/2,-y,-z'
'-x+1/2,y,z'
'-y,-x,-z'
'y,x,z'
'-x,y+1/2,-z'
'x,-y+1/2,z'
'y+1/2,x+1/2,-z'
'-y+1/2,-x+1/2,z'
loop_
_atom_site_label
_atom_site_type_symbol
_atom_site_fract_x
_atom_site_fract_y
_atom_site_fract_z
Sm1 Sm 0.2500 0.2500 0.1101
In1 In 0.2500 0.7500 0.5000
As1 As 0.2500 0.2500 0.7160
O1 O 0.2500 0.7500 0.0000
```

Largest 10 diffraction maxima, by angle, 10° ≤ 2θ ≤ 90°:
28.14°, d 3.171, intensity 100, (1 0 2)
31.75°, d 2.819, intensity 90, (1 1 1)
34.94°, d 2.568, intensity 66, (1 0 3)
35.59°, d 2.522, intensity 52, (1 1 2)
43.48°, d 2.081, intensity 62, (2 0 0)
48.37°, d 1.882, intensity 34, (1 1 4)
52.60°, d 1.740, intensity 35, (2 1 2)
56.95°, d 1.617, intensity 32, (2 1 3)
63.18°, d 1.472, intensity 20, (2 2 0)
65.44°, d 1.426, intensity 42, (2 0 5)



4.
The following is a calculated powder XRD pattern of InAsPd5. It was derived from the GGA-PBE geometry in OQMD, using Cu Kα (λ = 1.5418 Å).
Neutral-atom scattering factors, no anomalous dispersion.

Crystal structure
```
data_InAsPd5
_chemical_formula_sum 'In1 As1 Pd5'
_cell_length_a 4.0287
_cell_length_b 4.0287
_cell_length_c 7.0570
_cell_angle_alpha 90.00
_cell_angle_beta 90.00
_cell_angle_gamma 90.00
_symmetry_space_group_name_H-M 'P 4/m m m'
_symmetry_Int_Tables_number 123
_symmetry_space_group_name_Hall '-P 4 2'
loop_
_atom_site_label
_atom_site_type_symbol
_atom_site_fract_x
_atom_site_fract_y
_atom_site_fract_z
In1 In 0.0000 0.0000 0.0000
As1 As 0.5000 0.5000 0.5000
Pd1 Pd 0.0000 0.5000 0.2888
Pd2 Pd 0.5000 0.5000 0.0000
```

Largest 10 diffraction maxima, by angle, 10° ≤ 2θ ≤ 90°:
33.94°, d 2.642, intensity 23, (1 1 1)
38.26°, d 2.352, intensity 12, (0 0 3)
40.71°, d 2.217, intensity 100, (1 1 2)
45.00°, d 2.014, intensity 43, (2 0 0)
51.82°, d 1.764, intensity 8, (0 0 4)
60.51°, d 1.530, intensity 12, (2 0 3)
65.54°, d 1.424, intensity 14, (2 2 0)
71.02°, d 1.327, intensity 12, (2 0 4)
75.12°, d 1.265, intensity 10, (1 1 5)
80.09°, d 1.198, intensity 27, (3 1 2)



5.
The following is a calculated powder XRD pattern of Ta3InAs5. It was derived from the GGA-PBE geometry in OQMD, using Cu Kα (λ = 1.5418 Å).
Neutral-atom scattering factors, no anomalous dispersion.

Crystal structure
```
data_Ta3InAs5
_chemical_formula_sum 'Ta3 In1 As5'
_cell_length_a 5.6561
_cell_length_b 5.6561
_cell_length_c 7.6123
_cell_angle_alpha 90.00
_cell_angle_beta 90.00
_cell_angle_gamma 120.00
_symmetry_space_group_name_H-M 'P 6/m m m'
_symmetry_Int_Tables_number 191
_symmetry_space_group_name_Hall '-P 6 2'
loop_
_atom_site_label
_atom_site_type_symbol
_atom_site_fract_x
_atom_site_fract_y
_atom_site_fract_z
Ta1 Ta 0.0000 0.5000 0.0000
In1 In 0.0000 0.0000 0.5000
As1 As 0.0000 0.0000 0.0000
As2 As 0.3333 0.6667 0.2770
```

Largest 10 diffraction maxima, by angle, 10° ≤ 2θ ≤ 90°:
11.62°, d 7.612, intensity 100, (0 0 1)
21.57°, d 4.119, intensity 28, (1 0 1)
23.37°, d 3.806, intensity 20, (0 0 2)
33.81°, d 2.651, intensity 18, (1 1 1)
36.69°, d 2.449, intensity 33, (2 0 0)
38.62°, d 2.331, intensity 48, (2 0 1)
43.96°, d 2.060, intensity 93, (2 0 2)
61.73°, d 1.503, intensity 16, (2 0 4)
66.08°, d 1.414, intensity 19, (2 2 0)
85.57°, d 1.135, intensity 17, (2 2 4)



6.
The following is a calculated powder XRD pattern of AsIr9. It was derived from the GGA-PBE geometry in OQMD, using Cu Kα (λ = 1.5418 Å).
Neutral-atom scattering factors, no anomalous dispersion.

Crystal structure
```
data_AsIr9
_chemical_formula_sum 'As2 Ir18'
_cell_length_a 2.7508
_cell_length_b 3.8472
_cell_length_c 34.6639
_cell_angle_alpha 90.00
_cell_angle_beta 90.00
_cell_angle_gamma 90.00
_symmetry_space_group_name_H-M 'P m m n'
_symmetry_Int_Tables_number 59
loop_
_symmetry_equiv_pos_as_xyz
'x,y,z'
'-x,-y,-z'
'-x+1/2,-y+1/2,z'
'x+1/2,y+1/2,-z'
'x+1/2,-y,-z'
'-x+1/2,y,z'
'-x,y+1/2,-z'
'x,-y+1/2,z'
loop_
_atom_site_label
_atom_site_type_symbol
_atom_site_fract_x
_atom_site_fract_y
_atom_site_fract_z
As1 As 0.2500 0.2500 0.1291
Ir1 Ir 0.2500 0.2500 0.2047
Ir2 Ir 0.2500 0.2500 0.2838
Ir3 Ir 0.2500 0.2500 0.3622
Ir4 Ir 0.2500 0.2500 0.4408
Ir5 Ir 0.2500 0.2500 0.5197
Ir6 Ir 0.2500 0.2500 0.5985
Ir7 Ir 0.2500 0.2500 0.6773
Ir8 Ir 0.2500 0.2500 0.7560
Ir9 Ir 0.2500 0.2500 0.8362
```

Largest 10 diffraction maxima, by angle, 10° ≤ 2θ ≤ 90°:
38.99°, d 2.310, intensity 41, (0 1 12)
40.31°, d 2.238, intensity 100, (1 1 0)
40.39°, d 2.233, intensity 19, (1 1 1)
41.19°, d 2.192, intensity 79, (0 1 13)
45.54°, d 1.992, intensity 27, (1 0 12)
47.25°, d 1.924, intensity 32, (0 2 0)
47.49°, d 1.914, intensity 55, (1 0 13)
69.24°, d 1.357, intensity 34, (1 2 13)
81.70°, d 1.179, intensity 20, (1 1 25)
82.87°, d 1.165, intensity 22, (2 1 13)



7.
The following is a calculated powder XRD pattern of AsIr15. It was derived from the GGA-PBE geometry in OQMD, using Cu Kα (λ = 1.5418 Å).
Neutral-atom scattering factors, no anomalous dispersion.

Crystal structure
```
data_AsIr15
_chemical_formula_sum 'As2 Ir30'
_cell_length_a 7.7080
_cell_length_b 2.7335
_cell_length_c 33.3586
_cell_angle_alpha 90.00
_cell_angle_beta 90.00
_cell_angle_gamma 90.00
_symmetry_space_group_name_H-M 'P 1 21/m 1'
_symmetry_Int_Tables_number 11
_symmetry_space_group_name_Hall '-P 2yb'
loop_
_atom_site_label
_atom_site_type_symbol
_atom_site_fract_x
_atom_site_fract_y
_atom_site_fract_z
As1 As 0.1250 0.2500 0.3031
Ir1 Ir 0.1240 0.2500 0.8161
Ir2 Ir 0.1248 0.2500 0.0614
Ir3 Ir 0.1249 0.2500 0.1432
Ir4 Ir 0.1250 0.2500 0.2257
Ir5 Ir 0.1253 0.2500 0.9795
Ir6 Ir 0.1255 0.2500 0.8978
Ir7 Ir 0.1281 0.2500 0.7324
Ir8 Ir 0.3739 0.7500 0.1838
Ir9 Ir 0.3752 0.7500 0.0208
Ir10 Ir 0.3748 0.7500 0.6963
Ir11 Ir 0.3754 0.7500 0.7766
Ir12 Ir 0.3749 0.7500 0.8565
Ir13 Ir 0.3749 0.7500 0.9388
Ir14 Ir 0.3755 0.7500 0.1022
Ir15 Ir 0.3783 0.7500 0.2677
```

Largest 10 diffraction maxima, by angle, 10° ≤ 2θ ≤ 90°:
39.99°, d 2.255, intensity 67, (2 0 12)
40.48°, d 2.228, intensity 100, (2 1 0)
42.31°, d 2.136, intensity 27, (2 0 13)
46.60°, d 1.949, intensity 43, (0 1 12)
47.19°, d 1.926, intensity 33, (4 0 0)
48.67°, d 1.871, intensity 18, (0 1 13)
68.47°, d 1.370, intensity 28, (4 1 12)
81.63°, d 1.180, intensity 14, (2 1 24)
82.54°, d 1.169, intensity 17, (2 2 12)
83.09°, d 1.162, intensity 13, (6 1 0)



8.
The following is a calculated powder XRD pattern of AsIr9. It was derived from the GGA-PBE geometry in OQMD, using Cu Kα (λ = 1.5418 Å).
Neutral-atom scattering factors, no anomalous dispersion.

Crystal structure
```
data_AsIr9
_chemical_formula_sum 'As2 Ir18'
_cell_length_a 2.7560
_cell_length_b 2.7560
_cell_length_c 44.7566
_cell_angle_alpha 90.00
_cell_angle_beta 90.00
_cell_angle_gamma 90.00
_symmetry_space_group_name_H-M 'P 4/n m m'
_symmetry_Int_Tables_number 129
loop_
_symmetry_equiv_pos_as_xyz
'x,y,z'
'-x,-y,-z'
'-y+1/2,x,z'
'y+1/2,-x,-z'
'-x+1/2,-y+1/2,z'
'x+1/2,y+1/2,-z'
'y,-x+1/2,z'
'-y,x+1/2,-z'
'x+1/2,-y,-z'
'-x+1/2,y,z'
'-y,-x,-z'
'y,x,z'
'-x,y+1/2,-z'
'x,-y+1/2,z'
'y+1/2,x+1/2,-z'
'-y+1/2,-x+1/2,z'
loop_
_atom_site_label
_atom_site_type_symbol
_atom_site_fract_x
_atom_site_fract_y
_atom_site_fract_z
As1 As 0.2500 0.2500 0.0963
Ir1 Ir 0.2500 0.2500 0.1791
Ir2 Ir 0.2500 0.2500 0.2641
Ir3 Ir 0.2500 0.2500 0.3499
Ir4 Ir 0.2500 0.2500 0.4357
Ir5 Ir 0.2500 0.2500 0.5214
Ir6 Ir 0.2500 0.2500 0.6073
Ir7 Ir 0.2500 0.2500 0.6930
Ir8 Ir 0.2500 0.2500 0.7788
Ir9 Ir 0.2500 0.2500 0.8661
```

Largest 10 diffraction maxima, by angle, 10° ≤ 2θ ≤ 90°:
39.49°, d 2.282, intensity 49, (1 0 11)
40.71°, d 2.217, intensity 100, (1 0 12)
46.63°, d 1.948, intensity 65, (1 1 0)
48.84°, d 1.865, intensity 7, (0 0 24)
68.07°, d 1.377, intensity 38, (2 0 0)
69.80°, d 1.347, intensity 9, (1 1 24)
81.62°, d 1.180, intensity 12, (2 1 11)
82.41°, d 1.170, intensity 27, (2 1 12)
83.30°, d 1.160, intensity 16, (1 0 35)
86.55°, d 1.125, intensity 12, (2 0 23)